Record 1
For LiTcPd, a PBE-relaxed structure gives the calculated powder diffractogram in this record (a wavelength of 1.5418 Å).
Kinematic intensities with the Lorentz-polarization factor, no thermal factor.

Main lines, in order of falling intensity (10 to 90 degrees two-theta):
- 2θ 39.6, I = 100.0, (3 1 0)
- 2θ 48.8, I = 51.0, (1 1 -2)
- 2θ 41.7, I = 47.2, (2 0 2)
- 2θ 17.8, I = 42.1, (0 0 1)
- 2θ 25.1, I = 41.6, (2 0 1)
- 2θ 41.5, I = 41.2, (4 0 -2)
- 2θ 14.3, I = 41.0, (2 0 0)
- 2θ 43.9, I = 38.0, (6 0 0)
- 2θ 37.5, I = 31.2, (1 1 -1)
- 2θ 30.7, I = 28.1, (4 0 -1)

```
data_LiTcPd
_chemical_formula_sum 'Li4 Tc4 Pd4'
_symmetry_space_group_name_H-M 'C 1 2/m 1'
_symmetry_Int_Tables_number 12
_cell_length_a 12.648
_cell_length_b 2.734
_cell_length_c 5.106
_cell_angle_alpha 90.00
_cell_angle_beta 101.97
_cell_angle_gamma 90.00
loop_
_symmetry_equiv_pos_as_xyz
'x,y,z'
'-x,-y,-z'
'-x,y,-z'
'x,-y,z'
'x+1/2,y+1/2,z'
'-x+1/2,-y+1/2,-z'
'-x+1/2,y+1/2,-z'
'x+1/2,-y+1/2,z'
loop_
_atom_site_label
_atom_site_type_symbol
_atom_site_fract_x
_atom_site_fract_y
_atom_site_fract_z
_atom_site_occupancy
Li1 Li 0.178 0.000 0.105 1
Tc1 Tc 0.003 0.500 0.783 1
Pd1 Pd 0.158 0.000 0.581 1
```

Record 2
For Li2TePd5, a PBE-relaxed structure gives the calculated powder diffractogram in this record (a wavelength of 1.5418 Å).
Kinematic intensities with the Lorentz-polarization factor, no thermal factor.

Main lines, in order of falling intensity (10 to 90 degrees two-theta):
- 2θ 39.6, I = 100.0, (2 0 2)
- 2θ 44.2, I = 36.4, (2 2 0)
- 2θ 78.2, I = 26.3, (4 2 2)
- 2θ 21.7, I = 26.1, (1 1 0)
- 2θ 68.5, I = 19.2, (2 2 4)
- 2θ 32.7, I = 18.3, (1 1 2)
- 2θ 49.6, I = 13.0, (0 0 4)
- 2θ 64.3, I = 11.7, (4 0 0)
- 2θ 85.2, I = 10.6, (4 0 4)
- 2θ 86.1, I = 10.4, (2 0 6)

```
data_Li2TePd5
_chemical_formula_sum 'Li4 Te2 Pd10'
_symmetry_space_group_name_H-M 'I 4/m m m'
_symmetry_Int_Tables_number 139
_symmetry_space_group_name_Hall '-I 4 2'
_cell_length_a 5.799
_cell_length_b 5.799
_cell_length_c 7.356
_cell_angle_alpha 90.00
_cell_angle_beta 90.00
_cell_angle_gamma 90.00
loop_
_atom_site_label
_atom_site_type_symbol
_atom_site_fract_x
_atom_site_fract_y
_atom_site_fract_z
_atom_site_occupancy
Li1 Li 0.000 0.500 0.000 1
Te1 Te 0.000 0.000 0.000 1
Pd1 Pd 0.000 0.000 0.500 1
Pd2 Pd 0.250 0.250 0.250 1
```

Record 3
For Li3Te4Pd8, a PBE-relaxed structure gives the calculated powder diffractogram in this record (a wavelength of 1.5418 Å).
Kinematic intensities with the Lorentz-polarization factor, no thermal factor.

Main lines, in order of falling intensity (10 to 90 degrees two-theta):
- 2θ 39.1, I = 100.0, (4 4 0)
- 2θ 23.7, I = 42.4, (2 2 2)
- 2θ 46.2, I = 40.7, (6 2 2)
- 2θ 35.8, I = 25.0, (3 3 3)
- 2θ 41.0, I = 24.1, (5 3 1)
- 2θ 70.9, I = 22.7, (8 4 4)
- 2θ 13.6, I = 20.4, (2 0 0)
- 2θ 11.8, I = 15.6, (1 1 1)
- 2θ 45.7, I = 15.2, (5 3 3)
- 2θ 88.9, I = 12.6, (10 6 2)

```
data_Li3Te4Pd8
_chemical_formula_sum 'Li24 Te32 Pd64'
_symmetry_space_group_name_H-M 'F m -3 m'
_symmetry_Int_Tables_number 225
_symmetry_space_group_name_Hall '-F 4 2 3'
_cell_length_a 13.024
_cell_length_b 13.024
_cell_length_c 13.024
_cell_angle_alpha 90.00
_cell_angle_beta 90.00
_cell_angle_gamma 90.00
loop_
_atom_site_label
_atom_site_type_symbol
_atom_site_fract_x
_atom_site_fract_y
_atom_site_fract_z
_atom_site_occupancy
Li1 Li 0.000 0.000 0.218 1
Te1 Te 0.000 0.000 0.000 1
Te2 Te 0.000 0.000 0.500 1
Te3 Te 0.000 0.250 0.250 1
Pd1 Pd 0.119 0.119 0.381 1
Pd2 Pd 0.167 0.167 0.167 1
```

Record 4
For LiTh2Pd9, a PBE-relaxed structure gives the calculated powder diffractogram in this record (a wavelength of 1.5418 Å).
Kinematic intensities with the Lorentz-polarization factor, no thermal factor.

Main lines, in order of falling intensity (10 to 90 degrees two-theta):
- 2θ 37.9, I = 100.0, (1 1 3)
- 2θ 43.0, I = 37.0, (2 0 0)
- 2θ 75.3, I = 28.9, (3 1 3)
- 2θ 64.8, I = 17.3, (2 0 6)
- 2θ 62.4, I = 12.2, (2 2 0)
- 2θ 46.0, I = 12.1, (0 0 6)
- 2θ 26.0, I = 10.5, (1 0 2)
- 2θ 33.7, I = 10.2, (1 1 2)
- 2θ 80.9, I = 9.2, (2 2 6)
- 2θ 79.7, I = 7.0, (1 1 9)

```
data_LiTh2Pd9
_chemical_formula_sum 'Li1 Th2 Pd9'
_symmetry_space_group_name_H-M 'P 4/m m m'
_symmetry_Int_Tables_number 123
_symmetry_space_group_name_Hall '-P 4 2'
_cell_length_a 4.211
_cell_length_b 4.211
_cell_length_c 11.839
_cell_angle_alpha 90.00
_cell_angle_beta 90.00
_cell_angle_gamma 90.00
loop_
_atom_site_label
_atom_site_type_symbol
_atom_site_fract_x
_atom_site_fract_y
_atom_site_fract_z
_atom_site_occupancy
Li1 Li 0.000 0.000 0.000 1
Th1 Th 0.000 0.000 0.317 1
Pd1 Pd 0.000 0.500 0.151 1
Pd2 Pd 0.000 0.500 0.500 1
Pd3 Pd 0.500 0.500 0.000 1
Pd4 Pd 0.500 0.500 0.328 1
```

Record 5
For Li3ThPd4, a PBE-relaxed structure gives the calculated powder diffractogram in this record (a wavelength of 1.5418 Å).
Kinematic intensities with the Lorentz-polarization factor, no thermal factor.

Main lines, in order of falling intensity (10 to 90 degrees two-theta):
- 2θ 39.4, I = 100.0, (2 2 0)
- 2θ 19.4, I = 61.7, (1 1 0)
- 2θ 71.4, I = 34.3, (4 2 2)
- 2θ 33.9, I = 31.6, (2 1 1)
- 2θ 53.0, I = 18.4, (3 2 1)
- 2θ 56.9, I = 17.0, (4 0 0)
- 2θ 44.3, I = 15.4, (3 1 0)
- 2θ 27.6, I = 11.4, (2 0 0)
- 2θ 84.8, I = 11.0, (4 4 0)
- 2θ 74.8, I = 10.2, (5 1 0)

```
data_Li3ThPd4
_chemical_formula_sum 'Li6 Th2 Pd8'
_symmetry_space_group_name_H-M 'I m -3 m'
_symmetry_Int_Tables_number 229
_symmetry_space_group_name_Hall '-I 4 2 3'
_cell_length_a 6.470
_cell_length_b 6.470
_cell_length_c 6.470
_cell_angle_alpha 90.00
_cell_angle_beta 90.00
_cell_angle_gamma 90.00
loop_
_atom_site_label
_atom_site_type_symbol
_atom_site_fract_x
_atom_site_fract_y
_atom_site_fract_z
_atom_site_occupancy
Li1 Li 0.000 0.000 0.500 1
Th1 Th 0.000 0.000 0.000 1
Pd1 Pd 0.250 0.250 0.250 1
```

Record 6
For Li2Ti3Pd8, a PBE-relaxed structure gives the calculated powder diffractogram in this record (a wavelength of 1.5418 Å).
Kinematic intensities with the Lorentz-polarization factor, no thermal factor.

Main lines, in order of falling intensity (10 to 90 degrees two-theta):
- 2θ 39.9, I = 100.0, (2 0 2)
- 2θ 31.1, I = 61.2, (0 0 9)
- 2θ 41.7, I = 59.2, (0 2 4)
- 2θ 10.3, I = 53.5, (0 0 3)
- 2θ 46.6, I = 40.5, (1 1 9)
- 2θ 43.3, I = 28.6, (0 1 11)
- 2θ 20.6, I = 27.3, (0 0 6)
- 2θ 71.1, I = 23.7, (2 2 0)
- 2θ 43.1, I = 19.5, (2 0 5)
- 2θ 26.0, I = 15.9, (0 1 5)

```
data_Li2Ti3Pd8
_chemical_formula_sum 'Li6 Ti9 Pd24'
_symmetry_space_group_name_H-M 'R -3 m'
_symmetry_Int_Tables_number 166
_symmetry_space_group_name_Hall '-R 3 2"'
_cell_length_a 5.3038
_cell_length_b 5.3038
_cell_length_c 25.8105
_cell_angle_alpha 90.00
_cell_angle_beta 90.00
_cell_angle_gamma 120.00
loop_
_atom_site_label
_atom_site_type_symbol
_atom_site_fract_x
_atom_site_fract_y
_atom_site_fract_z
_atom_site_occupancy
Li1 Li 0.0000 0.0000 0.1319 1
Ti1 Ti 0.0000 0.0000 0.3101 1
Ti2 Ti 0.0000 0.0000 0.5000 1
Pd1 Pd 0.0000 0.0000 0.2181 1
Pd2 Pd 0.9999 0.4999 0.2758 1
```

Record 7
For LiTi5Pd6, a PBE-relaxed structure gives the calculated powder diffractogram in this record (a wavelength of 1.5418 Å).
Kinematic intensities with the Lorentz-polarization factor, no thermal factor.

Main lines, in order of falling intensity (10 to 90 degrees two-theta):
- 2θ 39.8, I = 100.0, (1 2 3)
- 2θ 30.8, I = 23.8, (1 0 3)
- 2θ 43.6, I = 20.7, (2 0 0)
- 2θ 24.6, I = 17.8, (0 2 0)
- 2θ 44.7, I = 17.6, (0 0 6)
- 2θ 77.5, I = 13.1, (3 2 3)
- 2θ 64.2, I = 11.5, (2 0 6)
- 2θ 50.3, I = 10.6, (0 4 0)
- 2θ 79.1, I = 10.6, (1 2 9)
- 2θ 68.8, I = 8.1, (2 4 0)

```
data_LiTi5Pd6
_chemical_formula_sum 'Li2 Ti10 Pd12'
_symmetry_space_group_name_H-M 'I m m m'
_symmetry_Int_Tables_number 71
_symmetry_space_group_name_Hall '-I 2 2'
_cell_length_a 4.152
_cell_length_b 7.249
_cell_length_c 12.160
_cell_angle_alpha 90.00
_cell_angle_beta 90.00
_cell_angle_gamma 90.00
loop_
_atom_site_label
_atom_site_type_symbol
_atom_site_fract_x
_atom_site_fract_y
_atom_site_fract_z
_atom_site_occupancy
Li1 Li 0.000 0.000 0.000 1
Ti1 Ti 0.000 0.000 0.352 1
Ti2 Ti 0.000 0.500 0.000 1
Ti3 Ti 0.000 0.500 0.319 1
Pd1 Pd 0.000 0.234 0.167 1
Pd2 Pd 0.000 0.280 0.500 1
```

Record 8
For LiTi4Pd5, a PBE-relaxed structure gives the calculated powder diffractogram in this record (a wavelength of 1.5418 Å).
Kinematic intensities with the Lorentz-polarization factor, no thermal factor.

Main lines, in order of falling intensity (10 to 90 degrees two-theta):
- 2θ 39.8, I = 100.0, (1 0 5)
- 2θ 44.2, I = 39.6, (1 1 0)
- 2θ 78.3, I = 25.6, (2 1 5)
- 2θ 30.8, I = 24.0, (1 0 0)
- 2θ 24.6, I = 20.2, (0 0 5)
- 2θ 69.3, I = 14.5, (1 1 10)
- 2θ 64.2, I = 12.4, (2 0 0)
- 2θ 51.2, I = 11.4, (1 1 5)
- 2θ 50.5, I = 9.8, (0 0 10)
- 2θ 85.9, I = 8.1, (2 0 10)

```
data_LiTi4Pd5
_chemical_formula_sum 'Li1 Ti4 Pd5'
_symmetry_space_group_name_H-M 'P 4/m m m'
_symmetry_Int_Tables_number 123
_symmetry_space_group_name_Hall '-P 4 2'
_cell_length_a 2.901
_cell_length_b 2.901
_cell_length_c 18.087
_cell_angle_alpha 90.00
_cell_angle_beta 90.00
_cell_angle_gamma 90.00
loop_
_atom_site_label
_atom_site_type_symbol
_atom_site_fract_x
_atom_site_fract_y
_atom_site_fract_z
_atom_site_occupancy
Li1 Li 0.000 0.000 0.000 1
Ti1 Ti 0.000 0.000 0.187 1
Ti2 Ti 0.000 0.000 0.396 1
Pd1 Pd 0.500 0.500 0.090 1
Pd2 Pd 0.500 0.500 0.292 1
Pd3 Pd 0.500 0.500 0.500 1
```

Record 9
For LiTi2Pd8, a PBE-relaxed structure gives the calculated powder diffractogram in this record (a wavelength of 1.5418 Å).
Kinematic intensities with the Lorentz-polarization factor, no thermal factor.

Main lines, in order of falling intensity (10 to 90 degrees two-theta):
- 2θ 40.8, I = 100.0, (1 2 3)
- 2θ 43.3, I = 30.6, (2 0 0)
- 2θ 40.9, I = 24.3, (1 1 4)
- 2θ 32.3, I = 21.7, (1 0 3)
- 2θ 37.7, I = 21.1, (0 3 1)
- 2θ 77.8, I = 17.7, (3 2 3)
- 2θ 33.5, I = 14.7, (1 2 1)
- 2θ 46.0, I = 13.2, (1 3 2)
- 2θ 49.1, I = 12.8, (0 0 6)
- 2θ 58.8, I = 11.4, (2 3 1)

```
data_LiTi2Pd8
_chemical_formula_sum 'Li2 Ti4 Pd16'
_symmetry_space_group_name_H-M 'I m m m'
_symmetry_Int_Tables_number 71
_symmetry_space_group_name_Hall '-I 2 2'
_cell_length_a 4.177
_cell_length_b 7.327
_cell_length_c 11.134
_cell_angle_alpha 90.00
_cell_angle_beta 90.00
_cell_angle_gamma 90.00
loop_
_atom_site_label
_atom_site_type_symbol
_atom_site_fract_x
_atom_site_fract_y
_atom_site_fract_z
_atom_site_occupancy
Li1 Li 0.000 0.000 0.000 1
Ti1 Ti 0.000 0.000 0.297 1
Pd1 Pd 0.000 0.184 0.500 1
Pd2 Pd 0.000 0.284 0.158 1
Pd3 Pd 0.000 0.500 0.362 1
```

Record 10
For Li2TiPd2, a PBE-relaxed structure gives the calculated powder diffractogram in this record (a wavelength of 1.5418 Å).
Kinematic intensities with the Lorentz-polarization factor, no thermal factor.

Main lines, in order of falling intensity (10 to 90 degrees two-theta):
- 2θ 28.2, I = 100.0, (2 1 0)
- 2θ 41.1, I = 86.7, (2 0 1)
- 2θ 43.1, I = 74.7, (2 1 1)
- 2θ 25.2, I = 44.2, (2 0 0)
- 2θ 63.6, I = 43.4, (4 1 1)
- 2θ 35.9, I = 39.4, (2 2 0)
- 2θ 53.3, I = 39.0, (4 1 0)
- 2θ 40.3, I = 33.0, (3 1 0)
- 2θ 32.0, I = 25.9, (0 0 1)
- 2θ 65.1, I = 24.7, (3 3 1)

```
data_Li2TiPd2
_chemical_formula_sum 'Li4 Ti2 Pd4'
_symmetry_space_group_name_H-M 'P 4/m b m'
_symmetry_Int_Tables_number 127
_symmetry_space_group_name_Hall '-P 4 2ab'
_cell_length_a 7.081
_cell_length_b 7.081
_cell_length_c 2.799
_cell_angle_alpha 90.00
_cell_angle_beta 90.00
_cell_angle_gamma 90.00
loop_
_atom_site_label
_atom_site_type_symbol
_atom_site_fract_x
_atom_site_fract_y
_atom_site_fract_z
_atom_site_occupancy
Li1 Li 0.111 0.389 0.000 1
Ti1 Ti 0.000 0.000 0.000 1
Pd1 Pd 0.190 0.690 0.500 1
```

Record 11
For Li3TiPd12, a PBE-relaxed structure gives the calculated powder diffractogram in this record (a wavelength of 1.5418 Å).
Kinematic intensities with the Lorentz-polarization factor, no thermal factor.

Main lines, in order of falling intensity (10 to 90 degrees two-theta):
- 2θ 40.0, I = 100.0, (1 1 4)
- 2θ 46.4, I = 32.6, (2 0 0)
- 2θ 81.6, I = 24.1, (3 1 4)
- 2θ 68.1, I = 20.0, (2 0 8)
- 2θ 22.7, I = 16.5, (1 0 0)
- 2θ 46.9, I = 15.7, (0 0 8)
- 2θ 32.5, I = 13.2, (1 0 4)
- 2θ 82.5, I = 11.7, (1 1 12)
- 2θ 86.4, I = 10.6, (2 2 8)
- 2θ 67.7, I = 10.2, (2 2 0)

```
data_Li3TiPd12
_chemical_formula_sum 'Li3 Ti1 Pd12'
_symmetry_space_group_name_H-M 'P 4/m m m'
_symmetry_Int_Tables_number 123
_symmetry_space_group_name_Hall '-P 4 2'
_cell_length_a 3.917
_cell_length_b 3.917
_cell_length_c 15.486
_cell_angle_alpha 90.00
_cell_angle_beta 90.00
_cell_angle_gamma 90.00
loop_
_atom_site_label
_atom_site_type_symbol
_atom_site_fract_x
_atom_site_fract_y
_atom_site_fract_z
_atom_site_occupancy
Li1 Li 0.000 0.000 0.000 1
Li2 Li 0.000 0.000 0.247 1
Ti1 Ti 0.000 0.000 0.500 1
Pd1 Pd 0.000 0.500 0.124 1
Pd2 Pd 0.000 0.500 0.376 1
Pd3 Pd 0.500 0.500 0.000 1
Pd4 Pd 0.500 0.500 0.249 1
Pd5 Pd 0.500 0.500 0.500 1
```

Record 12
For LiTl2Pd7, a PBE-relaxed structure gives the calculated powder diffractogram in this record (a wavelength of 1.5418 Å).
Kinematic intensities with the Lorentz-polarization factor, no thermal factor.

Main lines, in order of falling intensity (10 to 90 degrees two-theta):
- 2θ 39.8, I = 100.0, (2 6 0)
- 2θ 42.8, I = 82.2, (1 5 1)
- 2θ 25.6, I = 61.8, (2 2 0)
- 2θ 47.8, I = 61.8, (3 1 1)
- 2θ 36.8, I = 59.9, (1 3 1)
- 2θ 30.8, I = 54.3, (0 0 1)
- 2θ 51.2, I = 49.3, (2 6 1)
- 2θ 35.6, I = 41.3, (3 1 0)
- 2θ 23.3, I = 32.9, (2 0 0)
- 2θ 78.3, I = 27.4, (2 6 2)

```
data_LiTl2Pd7
_chemical_formula_sum 'Li2 Tl4 Pd14'
_symmetry_space_group_name_H-M 'C m m m'
_symmetry_Int_Tables_number 65
_symmetry_space_group_name_Hall '-C 2 2'
_cell_length_a 7.642
_cell_length_b 16.873
_cell_length_c 2.902
_cell_angle_alpha 90.00
_cell_angle_beta 90.00
_cell_angle_gamma 90.00
loop_
_atom_site_label
_atom_site_type_symbol
_atom_site_fract_x
_atom_site_fract_y
_atom_site_fract_z
_atom_site_occupancy
Li1 Li 0.000 0.000 0.000 1
Tl1 Tl 0.000 0.329 0.500 1
Pd1 Pd 0.000 0.190 0.000 1
Pd2 Pd 0.000 0.500 0.500 1
Pd3 Pd 0.195 0.084 0.500 1
```

Record 13
For Li5Tl2Pd, a PBE-relaxed structure gives the calculated powder diffractogram in this record (a wavelength of 1.5418 Å).
Kinematic intensities with the Lorentz-polarization factor, no thermal factor.

Main lines, in order of falling intensity (10 to 90 degrees two-theta):
- 2θ 23.2, I = 100.0, (1 0 1)
- 2θ 40.9, I = 50.0, (1 0 7)
- 2θ 40.0, I = 38.6, (1 1 0)
- 2θ 22.8, I = 36.7, (1 0 0)
- 2θ 26.9, I = 35.9, (1 0 3)
- 2θ 49.9, I = 19.3, (1 1 6)
- 2θ 73.2, I = 18.2, (2 1 7)
- 2θ 58.5, I = 17.7, (2 0 7)
- 2θ 19.0, I = 16.5, (0 0 4)
- 2θ 46.7, I = 15.8, (2 0 1)

```
data_Li5Tl2Pd
_chemical_formula_sum 'Li10 Tl4 Pd2'
_symmetry_space_group_name_H-M 'P 63/m m c'
_symmetry_Int_Tables_number 194
_symmetry_space_group_name_Hall '-P 6c 2c'
_cell_length_a 4.5132
_cell_length_b 4.5132
_cell_length_c 18.7173
_cell_angle_alpha 90.00
_cell_angle_beta 90.00
_cell_angle_gamma 120.00
loop_
_atom_site_label
_atom_site_type_symbol
_atom_site_fract_x
_atom_site_fract_y
_atom_site_fract_z
_atom_site_occupancy
Li1 Li 0.0000 0.0000 0.1760 1
Li2 Li 0.3333 0.6667 0.0458 1
Li3 Li 0.3333 0.6667 0.2500 1
Tl1 Tl 0.3333 0.6667 0.6061 1
Pd1 Pd 0.3333 0.6667 0.7500 1
```